For Na6Mn2B4AsO16, a structure optimized by DFT (GGA+U) gives the calculated XRD peak list in this record (λ = 1.5418 Å (Cu Kα)).
Lines closer than 0.1° are merged.

Crystal structure
```
data_Na6Mn2B4AsO16
_chemical_formula_sum 'Na12 Mn4 B8 As2 O32'
_space_group_name_H-M_alt 'P 1'
_space_group_IT_number 1
_space_group_name_Hall 'P 1'
_cell_length_a 9.9158
_cell_length_b 9.9158
_cell_length_c 9.9158
_cell_angle_alpha 60.00
_cell_angle_beta 60.00
_cell_angle_gamma 60.00
loop_
_atom_site_label
_atom_site_type_symbol
_atom_site_fract_x
_atom_site_fract_y
_atom_site_fract_z
Na1 Na 0.0924 0.0924 0.6576
Na2 Na 0.0924 0.6576 0.0924
Na3 Na 0.0924 0.6576 0.6576
Na4 Na 0.3424 0.3424 0.9076
Na5 Na 0.3424 0.9076 0.3424
Na6 Na 0.3424 0.9076 0.9076
Na7 Na 0.6576 0.0924 0.0924
Na8 Na 0.6576 0.0924 0.6576
Na9 Na 0.6576 0.6576 0.0924
Na10 Na 0.9076 0.3424 0.3424
Na11 Na 0.9076 0.3424 0.9076
Na12 Na 0.9076 0.9076 0.3424
Mn1 Mn 0.0000 0.5000 0.5000
Mn2 Mn 0.5000 0.0000 0.5000
Mn3 Mn 0.5000 0.5000 0.0000
Mn4 Mn 0.5000 0.5000 0.5000
B1 B 0.2898 0.2898 0.2898
B2 B 0.2898 0.2898 0.6305
B3 B 0.2898 0.6305 0.2898
B4 B 0.3695 0.7102 0.7102
B5 B 0.6305 0.2898 0.2898
B6 B 0.7102 0.3695 0.7102
B7 B 0.7102 0.7102 0.3695
B8 B 0.7102 0.7102 0.7102
As1 As 0.1250 0.1250 0.1250
As2 As 0.8750 0.8750 0.8750
O1 O 0.0542 0.0542 0.0542
O2 O 0.0542 0.0542 0.3375
O3 O 0.0542 0.3375 0.0542
O4 O 0.1347 0.3199 0.4082
O5 O 0.1347 0.4082 0.6372
O6 O 0.1347 0.6372 0.3199
O7 O 0.3199 0.1347 0.6372
O8 O 0.3199 0.4082 0.1347
O9 O 0.3199 0.6372 0.4082
O10 O 0.3375 0.0542 0.0542
O11 O 0.3628 0.5918 0.6801
O12 O 0.3628 0.6801 0.8653
O13 O 0.3628 0.8653 0.5918
O14 O 0.4082 0.1347 0.3199
O15 O 0.4082 0.3199 0.6372
O16 O 0.4082 0.6372 0.1347
O17 O 0.5918 0.3628 0.8653
O18 O 0.5918 0.6801 0.3628
O19 O 0.5918 0.8653 0.6801
O20 O 0.6372 0.1347 0.4082
O21 O 0.6372 0.3199 0.1347
O22 O 0.6372 0.4082 0.3199
O23 O 0.6625 0.9458 0.9458
O24 O 0.6801 0.3628 0.5918
O25 O 0.6801 0.5918 0.8653
O26 O 0.6801 0.8653 0.3628
O27 O 0.8653 0.3628 0.6801
O28 O 0.8653 0.5918 0.3628
O29 O 0.8653 0.6801 0.5918
O30 O 0.9458 0.6625 0.9458
O31 O 0.9458 0.9458 0.6625
O32 O 0.9458 0.9458 0.9458
```

Principal peaks in the range 2θ from 10° to 80°, in order of falling intensity:
two_theta, I (rel.)
21.01, 100.0
33.20, 70.9
36.24, 58.8
56.86, 29.6
17.89, 24.7
21.96, 19.4
63.26, 16.6
65.18, 16.6